RbAlS3: computed powder X-ray diffraction pattern (Cu Kα (weighted mean of Kα1 and Kα2)), based on a crystal structure in Alexandria, relaxed with PBE.

Structure:
```
RbAlS3
1.0
4.0956 -6.1581 0.0000
4.0956 6.1581 0.0000
-2.8936 0.0000 5.8098
Rb Al S
2 2 6
direct
0.1615 0.8385 0.5000 Rb
0.8385 0.1615 0.0000 Rb
0.4536 0.5015 0.9036 Al
0.5015 0.4536 0.4036 Al
0.2370 0.3811 0.5337 S
0.3811 0.2370 0.0337 S
0.4335 0.7729 0.1385 S
0.6567 0.8013 0.4367 S
0.7729 0.4335 0.6385 S
0.8013 0.6567 0.9367 S
```

Most intense lines, 10° ≤ 2θ ≤ 90°, in order of falling intensity:
Position (°2θ), intensity
26.52, 100.0
32.94, 52.3
24.50, 35.6
24.86, 35.0
30.78, 26.0
21.02, 20.2